1.
The following is a simulated powder X-ray diffraction pattern of RbCo2SnCl8. It was derived from the GGA-PBE geometry in Alexandria, using λ = 1.5418 Å (Cu Kα).
Peak positions follow from Bragg's law for the DFT cell and can differ from measured ones.

Principal peaks in the range 2θ = 10–90°, by angle:
two_theta  intensity  (hkl)
19.91  100.0  1 0 4
27.23  42.5  1 1 0
28.79  30.2  1 1 3
29.34  32.5  0 1 8
33.09  39.5  2 -1 6
33.96  25.6  0 2 4
46.86  43.6  1 1 12
48.11  34.9  3 0 0

Atomic structure:
```
data_RbCo2SnCl8
_symmetry_space_group_name_H-M 'R -3'
_symmetry_Int_Tables_number 148
_symmetry_space_group_name_Hall '-R 3'
_cell_length_a 6.5510
_cell_length_b 6.5510
_cell_length_c 28.8631
_cell_angle_alpha 90.00
_cell_angle_beta 90.00
_cell_angle_gamma 120.00
loop_
_atom_site_label
_atom_site_fract_x
_atom_site_fract_y
_atom_site_fract_z
_atom_site_occupancy
Rb1 0.0000 0.0000 0.0000 1
Co1 0.0000 0.0000 0.2499 1
Sn1 0.0000 0.0000 0.5000 1
Cl1 0.0000 0.0000 0.3253 1
Cl2 0.0043 0.6522 0.4418 1
```



2.
The following is a simulated powder X-ray diffraction pattern of Tb3Pr2In. It was derived from the GGA-PBE geometry in Alexandria, using λ = 1.5418 Å (Cu Kα).
Peak positions follow from Bragg's law for the DFT cell and can differ from measured ones.

Principal peaks in the range 2θ = 10–90°, by angle:
two_theta  intensity  (hkl)
30.96  100.0  1 3 1
35.02  17.8  0 6 0
36.18  16.6  0 0 2
36.50  16.2  2 0 0
51.24  12.0  0 6 2
60.31  14.4  1 9 1
61.85  13.8  1 3 3
62.27  13.5  3 3 1

Atomic structure:
```
data_Tb3Pr2In
_symmetry_space_group_name_H-M 'C m m m'
_symmetry_Int_Tables_number 65
_symmetry_space_group_name_Hall '-C 2 2'
_cell_length_a 4.9240
_cell_length_b 15.3722
_cell_length_c 4.9649
_cell_angle_alpha 90.00
_cell_angle_beta 90.00
_cell_angle_gamma 90.00
loop_
_atom_site_label
_atom_site_fract_x
_atom_site_fract_y
_atom_site_fract_z
_atom_site_occupancy
Tb1 0.0000 0.0000 0.0000 1
Tb2 0.0000 0.3371 0.0000 1
Pr1 0.0000 0.1620 0.5000 1
In1 0.0000 0.5000 0.5000 1
```



3.
The following is a simulated powder X-ray diffraction pattern of SnPb4Au5. It was derived from the GGA-PBE geometry in Alexandria, using λ = 1.5418 Å (Cu Kα).
Peak positions follow from Bragg's law for the DFT cell and can differ from measured ones.

Principal peaks in the range 2θ = 10–90°, by angle:
two_theta  intensity  (hkl)
30.64  100.0  0 1 -2
30.68  25.7  2 1 0
31.57  91.1  0 2 1
32.01  38.2  2 0 0
32.46  36.0  2 1 1
37.41  32.4  2 2 1
41.09  38.6  0 1 3
42.04  25.3  2 1 -2

Atomic structure:
```
data_SnPb4Au5
_symmetry_space_group_name_H-M 'P 1'
_symmetry_Int_Tables_number 1
_cell_length_a 5.9088
_cell_length_b 6.3906
_cell_length_c 6.9305
_cell_angle_alpha 85.35
_cell_angle_beta 86.26
_cell_angle_gamma 71.31
loop_
_symmetry_equiv_pos_as_xyz
'x,y,z'
loop_
_atom_site_label
_atom_site_fract_x
_atom_site_fract_y
_atom_site_fract_z
_atom_site_occupancy
Sn1 0.0000 0.0000 0.0000 1
Pb1 0.1347 0.3996 0.2440 1
Pb2 0.5252 0.7972 0.3356 1
Pb3 0.6250 0.2630 0.5717 1
Pb4 0.9692 0.5826 0.7592 1
Au1 0.1688 0.1266 0.6222 1
Au2 0.4415 0.6826 0.7852 1
Au3 0.4898 0.0612 0.9552 1
Au4 0.6394 0.3950 0.1203 1
Au5 0.9989 0.8519 0.3943 1
```



4.
The following is a simulated powder X-ray diffraction pattern of Hf5Tc4Rh. It was derived from the GGA-PBE geometry in Alexandria, using λ = 1.5418 Å (Cu Kα).
Peak positions follow from Bragg's law for the DFT cell and can differ from measured ones.

Principal peaks in the range 2θ = 10–90°, by angle:
two_theta  intensity  (hkl)
27.32  8.8  1 0 0
39.02  100.0  1 1 0
56.31  11.5  2 0 0
56.47  5.6  0 0 10
70.65  23.1  2 1 5
70.75  11.4  1 1 10
83.73  3.7  2 2 0
83.86  7.3  2 0 10

Atomic structure:
```
data_Hf5Tc4Rh
_symmetry_space_group_name_H-M 'P 4/m m m'
_symmetry_Int_Tables_number 123
_symmetry_space_group_name_Hall '-P 4 2'
_cell_length_a 3.2673
_cell_length_b 3.2673
_cell_length_c 16.2945
_cell_angle_alpha 90.00
_cell_angle_beta 90.00
_cell_angle_gamma 90.00
loop_
_atom_site_label
_atom_site_fract_x
_atom_site_fract_y
_atom_site_fract_z
_atom_site_occupancy
Hf1 0.0000 0.0000 0.0000 1
Hf2 0.0000 0.0000 0.2004 1
Hf3 0.0000 0.0000 0.3973 1
Tc1 0.5000 0.5000 0.0999 1
Tc2 0.5000 0.5000 0.3020 1
Rh1 0.5000 0.5000 0.5000 1
```



5.
The following is a simulated powder X-ray diffraction pattern of RbMg2Al. It was derived from the GGA-PBE geometry in Alexandria, using λ = 1.5418 Å (Cu Kα).
Peak positions follow from Bragg's law for the DFT cell and can differ from measured ones.

Principal peaks in the range 2θ = 10–90°, by angle:
two_theta  intensity  (hkl)
21.22  99.8  1 1 0
22.52  72.5  1 1 -1
26.02  64.8  0 0 2
27.13  91.9  2 0 -2
30.16  81.0  2 0 1
36.39  100.0  0 2 0
45.28  82.8  3 1 -3
53.53  25.8  2 0 3

Atomic structure:
```
data_RbMg2Al
_symmetry_space_group_name_H-M 'C 1 m 1'
_symmetry_Int_Tables_number 8
_cell_length_a 8.5544
_cell_length_b 4.9374
_cell_length_c 7.4198
_cell_angle_alpha 90.00
_cell_angle_beta 112.62
_cell_angle_gamma 90.00
loop_
_symmetry_equiv_pos_as_xyz
'x,y,z'
'x,-y,z'
'x+1/2,y+1/2,z'
'x+1/2,-y+1/2,z'
loop_
_atom_site_label
_atom_site_fract_x
_atom_site_fract_y
_atom_site_fract_z
_atom_site_occupancy
Rb1 0.0000 0.0000 0.0000 1
Mg1 0.1827 0.0000 0.5554 1
Mg2 0.4768 0.0000 0.4365 1
Al1 0.3124 0.5000 0.4437 1
```



6.
The following is a simulated powder X-ray diffraction pattern of In5Pd12Pt2. It was derived from the GGA-PBE geometry in Alexandria, using λ = 1.5418 Å (Cu Kα).
Peak positions follow from Bragg's law for the DFT cell and can differ from measured ones.

Principal peaks in the range 2θ = 10–90°, by angle:
two_theta  intensity  (hkl)
35.56  30.0  3 1 -2
38.60  100.0  2 2 2
38.95  87.7  4 2 -1
39.80  42.1  5 1 1
42.24  28.9  2 0 -3
42.64  22.3  1 1 3
43.56  19.6  3 3 -1
45.46  21.5  1 3 2

Atomic structure:
```
data_In5Pd12Pt2
_symmetry_space_group_name_H-M 'C 1 2/m 1'
_symmetry_Int_Tables_number 12
_cell_length_a 12.7915
_cell_length_b 7.5873
_cell_length_c 6.7564
_cell_angle_alpha 90.00
_cell_angle_beta 91.37
_cell_angle_gamma 90.00
loop_
_symmetry_equiv_pos_as_xyz
'x,y,z'
'-x,-y,-z'
'-x,y,-z'
'x,-y,z'
'x+1/2,y+1/2,z'
'-x+1/2,-y+1/2,-z'
'-x+1/2,y+1/2,-z'
'x+1/2,-y+1/2,z'
loop_
_atom_site_label
_atom_site_fract_x
_atom_site_fract_y
_atom_site_fract_z
_atom_site_occupancy
In1 0.0000 0.0000 0.0000 1
In2 0.1835 0.5000 0.5336 1
In3 0.2427 0.0000 0.9328 1
Pd1 0.0583 0.5000 0.1837 1
Pd2 0.1065 0.0000 0.6016 1
Pd3 0.1113 0.2867 0.8629 1
Pd4 0.1677 0.1911 0.2604 1
Pt1 0.0000 0.2994 0.5000 1
```



7.
The following is a simulated powder X-ray diffraction pattern of Pu8Ir2Pt3. It was derived from the GGA-PBE geometry in Alexandria, using λ = 1.5418 Å (Cu Kα).
Peak positions follow from Bragg's law for the DFT cell and can differ from measured ones.

Principal peaks in the range 2θ = 10–90°, by angle:
two_theta  intensity  (hkl)
36.13  50.6  1 2 -1
36.40  100.0  0 2 2
37.29  48.4  1 0 -3
37.43  47.3  1 -1 3
38.18  48.3  2 -1 0
53.70  16.7  2 1 2
53.87  16.6  -2 3 2
66.85  29.9  -1 2 5

Atomic structure:
```
data_Pu8Ir2Pt3
_symmetry_space_group_name_H-M 'P -1'
_symmetry_Int_Tables_number 2
_cell_length_a 4.7146
_cell_length_b 7.7108
_cell_length_c 8.3992
_cell_angle_alpha 101.27
_cell_angle_beta 90.24
_cell_angle_gamma 107.38
loop_
_symmetry_equiv_pos_as_xyz
'x,y,z'
'-x,-y,-z'
loop_
_atom_site_label
_atom_site_fract_x
_atom_site_fract_y
_atom_site_fract_z
_atom_site_occupancy
Pu1 0.0599 0.1064 0.3706 1
Pu2 0.2070 0.4133 0.0763 1
Pu3 0.2769 0.5545 0.4131 1
Pu4 0.4394 0.8761 0.1606 1
Ir1 0.1545 0.3086 0.7174 1
Pt1 0.0000 0.0000 0.0000 1
Pt2 0.3540 0.7133 0.7643 1
```



8.
The following is a simulated powder X-ray diffraction pattern of Yb2Zn3Ge3. It was derived from the GGA-PBE geometry in Alexandria, using λ = 1.5418 Å (Cu Kα).
Peak positions follow from Bragg's law for the DFT cell and can differ from measured ones.

Principal peaks in the range 2θ = 10–90°, by angle:
two_theta  intensity  (hkl)
31.40  53.4  4 0 -4
31.76  77.4  1 1 2
34.27  29.1  6 0 -3
34.83  100.0  3 1 1
35.23  71.9  5 1 -2
36.71  28.7  6 0 -4
37.50  72.4  3 1 -4
41.85  76.5  0 2 0

Atomic structure:
```
data_Yb2Zn3Ge3
_symmetry_space_group_name_H-M 'C 1 2/m 1'
_symmetry_Int_Tables_number 12
_cell_length_a 15.8025
_cell_length_b 4.3178
_cell_length_c 11.5521
_cell_angle_alpha 90.00
_cell_angle_beta 126.33
_cell_angle_gamma 90.00
loop_
_symmetry_equiv_pos_as_xyz
'x,y,z'
'-x,-y,-z'
'-x,y,-z'
'x,-y,z'
'x+1/2,y+1/2,z'
'-x+1/2,-y+1/2,-z'
'-x+1/2,y+1/2,-z'
'x+1/2,-y+1/2,z'
loop_
_atom_site_label
_atom_site_fract_x
_atom_site_fract_y
_atom_site_fract_z
_atom_site_occupancy
Yb1 0.0660 0.0000 0.4115 1
Yb2 0.2374 0.0000 0.8303 1
Zn1 0.0621 0.5000 0.8280 1
Zn2 0.0777 0.0000 0.1416 1
Zn3 0.2334 0.5000 0.5999 1
Ge1 0.0856 0.5000 0.6249 1
Ge2 0.1210 0.0000 0.9637 1
Ge3 0.1529 0.5000 0.3212 1
```



9.
The following is a simulated powder X-ray diffraction pattern of Li2MgSO4. It was derived from the GGA-PBE geometry in Alexandria, using λ = 1.5418 Å (Cu Kα).
Peak positions follow from Bragg's law for the DFT cell and can differ from measured ones.

Principal peaks in the range 2θ = 10–90°, by angle:
two_theta  intensity  (hkl)
21.76  61.5  1 0 1
34.20  100.0  1 1 2
36.20  8.6  1 0 3
45.19  9.3  1 2 1
56.50  17.8  2 2 0
57.84  33.2  2 0 4
67.73  18.9  3 1 2
70.15  12.1  1 1 6

Atomic structure:
```
data_Li2MgSO4
_symmetry_space_group_name_H-M 'I -4'
_symmetry_Int_Tables_number 82
_cell_length_a 4.6069
_cell_length_b 4.6069
_cell_length_c 8.8346
_cell_angle_alpha 90.00
_cell_angle_beta 90.00
_cell_angle_gamma 90.00
loop_
_symmetry_equiv_pos_as_xyz
'x,y,z'
'y,-x,-z'
'-x,-y,z'
'-y,x,-z'
'x+1/2,y+1/2,z+1/2'
'y+1/2,-x+1/2,-z+1/2'
'-x+1/2,-y+1/2,z+1/2'
'-y+1/2,x+1/2,-z+1/2'
loop_
_atom_site_label
_atom_site_fract_x
_atom_site_fract_y
_atom_site_fract_z
_atom_site_occupancy
Li1 0.0000 0.0000 0.0000 1
Li2 0.0000 0.5000 0.2500 1
Mg1 0.0000 0.0000 0.5000 1
S1 0.0000 0.5000 0.7500 1
O1 0.2298 0.2652 0.6311 1
```



10.
The following is a simulated powder X-ray diffraction pattern of Li4Sc3InSi8O24. It was derived from the GGA-PBE geometry in Alexandria, using λ = 1.5418 Å (Cu Kα).
Peak positions follow from Bragg's law for the DFT cell and can differ from measured ones.

Principal peaks in the range 2θ = 10–90°, by angle:
two_theta  intensity  (hkl)
13.59  50.8  0 1 0
19.33  32.5  1 1 1
19.48  28.7  0 1 2
24.75  43.6  1 0 3
28.67  100.0  1 2 1
30.39  60.8  0 2 -2
35.36  28.3  2 0 2
36.25  24.4  1 0 5

Atomic structure:
```
data_Li4Sc3InSi8O24
_symmetry_space_group_name_H-M 'P 1'
_symmetry_Int_Tables_number 1
_cell_length_a 5.4269
_cell_length_b 6.7507
_cell_length_c 13.1757
_cell_angle_alpha 89.08
_cell_angle_beta 81.68
_cell_angle_gamma 74.89
loop_
_symmetry_equiv_pos_as_xyz
'x,y,z'
loop_
_atom_site_label
_atom_site_fract_x
_atom_site_fract_y
_atom_site_fract_z
_atom_site_occupancy
Li1 0.0000 0.0000 0.0000 1
Li2 0.2439 0.5124 0.2550 1
Li3 0.4966 0.0094 0.5035 1
Li4 0.7457 0.5104 0.7554 1
Sc1 0.0665 0.8690 0.4336 1
Sc2 0.1763 0.6478 0.8242 1
Sc3 0.5679 0.8649 0.9321 1
In1 0.6747 0.6524 0.3248 1
Si1 0.0461 0.3733 0.4849 1
Si2 0.1997 0.1413 0.7722 1
Si3 0.2851 0.9697 0.1845 1
Si4 0.4585 0.5456 0.5715 1
Si5 0.5442 0.3708 0.9833 1
Si6 0.6999 0.1424 0.2707 1
Si7 0.7859 0.9691 0.6863 1
Si8 0.9585 0.5428 0.0692 1
O1 0.0183 0.5536 0.3975 1
O2 0.0908 0.3760 0.8152 1
O3 0.1538 0.1389 0.4418 1
O4 0.2338 0.9611 0.8596 1
O5 0.2545 0.3925 0.0479 1
O6 0.2545 0.4083 0.5575 1
O7 0.3073 0.7963 0.2755 1
O8 0.3324 0.8837 0.0674 1
O9 0.4085 0.6308 0.6887 1
O10 0.4242 0.7245 0.4831 1
O11 0.4868 0.1136 0.7037 1
O12 0.5020 0.0957 0.1962 1
O13 0.5124 0.5516 0.8961 1
O14 0.5728 0.3737 0.3145 1
O15 0.6587 0.1362 0.9405 1
O16 0.7327 0.9660 0.3606 1
O17 0.7450 0.4119 0.0585 1
O18 0.7574 0.4018 0.5518 1
O19 0.8174 0.7933 0.7757 1
O20 0.8369 0.8837 0.5688 1
O21 0.9251 0.6311 0.1849 1
O22 0.9268 0.7184 0.9793 1
O23 0.9892 0.1205 0.2052 1
O24 0.9906 0.1061 0.6999 1
```



11.
The following is a simulated powder X-ray diffraction pattern of CaNd7Sm2. It was derived from the GGA-PBE geometry in Alexandria, using λ = 1.5418 Å (Cu Kα).
Peak positions follow from Bragg's law for the DFT cell and can differ from measured ones.

Principal peaks in the range 2θ = 10–90°, by angle:
two_theta  intensity  (hkl)
10.91  38.4  0 2 0
15.34  100.0  0 0 1
26.86  44.5  0 4 1
29.56  80.6  2 4 0
30.96  71.3  0 0 2
33.17  80.0  1 5 1
33.95  70.0  3 1 1
43.33  56.6  2 4 2

Atomic structure:
```
data_CaNd7Sm2
_symmetry_space_group_name_H-M 'C m m m'
_symmetry_Int_Tables_number 65
_symmetry_space_group_name_Hall '-C 2 2'
_cell_length_a 9.0630
_cell_length_b 16.2236
_cell_length_c 5.7763
_cell_angle_alpha 90.00
_cell_angle_beta 90.00
_cell_angle_gamma 90.00
loop_
_atom_site_label
_atom_site_fract_x
_atom_site_fract_y
_atom_site_fract_z
_atom_site_occupancy
Ca1 0.0000 0.0000 0.0000 1
Nd1 0.0000 0.2395 0.0000 1
Nd2 0.0000 0.5000 0.5000 1
Nd3 0.1820 0.1180 0.5000 1
Sm1 0.0000 0.2965 0.5000 1
```



12.
The following is a simulated powder X-ray diffraction pattern of K2NdIr3O12. It was derived from the GGA-PBE geometry in Alexandria, using λ = 1.5418 Å (Cu Kα).
Peak positions follow from Bragg's law for the DFT cell and can differ from measured ones.

Principal peaks in the range 2θ = 10–90°, by angle:
two_theta  intensity  (hkl)
14.89  99.4  1 0 1
16.80  52.8  0 0 3
28.37  69.2  0 2 1
29.45  58.6  1 1 3
30.04  100.0  2 0 2
36.03  41.6  0 2 4
49.16  44.2  2 2 0
61.11  24.8  2 2 6

Atomic structure:
```
data_K2NdIr3O12
_symmetry_space_group_name_H-M 'R -3 m'
_symmetry_Int_Tables_number 166
_symmetry_space_group_name_Hall '-R 3 2"'
_cell_length_a 7.4127
_cell_length_b 7.4127
_cell_length_c 15.8313
_cell_angle_alpha 90.00
_cell_angle_beta 90.00
_cell_angle_gamma 120.00
loop_
_atom_site_label
_atom_site_fract_x
_atom_site_fract_y
_atom_site_fract_z
_atom_site_occupancy
K1 0.0000 0.0000 0.1009 1
Nd1 0.0000 0.0000 0.5000 1
Ir1 0.0000 0.5000 0.0000 1
O1 0.0455 0.5228 0.8849 1
O2 0.0753 0.5376 0.3089 1
```